No. 1
KVO4: computed powder diffractogram (Cu Kα, 1.54184 Å), based on the PBE+U geometry in the Materials Project.
Peak positions follow from Bragg's law for the DFT cell and can differ from measured ones.

The 8 most intense peaks (10 to 90 degrees two-theta), in order of rising 2θ:
12.82 deg, I = 100
16.82 deg, I = 14
25.81 deg, I = 43
27.45 deg, I = 15
27.65 deg, I = 22
30.82 deg, I = 54
33.85 deg, I = 32
49.49 deg, I = 17

Atomic structure:
Lattice parameters (Å, degrees): 7.9120 3.6832 14.1332 90.00 90.00 90.00
Fractional positions:
1 K 0.2288 0.2500 0.2264
2 K 0.2712 0.7500 0.7264
3 K 0.7288 0.2500 0.2736
4 K 0.7712 0.7500 0.7736
5 V 0.0715 0.7500 0.4180
6 V 0.4285 0.2500 0.9180
7 V 0.5715 0.7500 0.0820
8 V 0.9285 0.2500 0.5820
9 O 0.0267 0.2500 0.6887
10 O 0.0317 0.2500 0.4508
11 O 0.0384 0.7500 0.0399
12 O 0.2229 0.2500 0.8921
13 O 0.2771 0.7500 0.3921
14 O 0.4616 0.2500 0.5399
15 O 0.4683 0.7500 0.9508
16 O 0.4733 0.7500 0.1887
17 O 0.5267 0.2500 0.8113
18 O 0.5317 0.2500 0.0492
19 O 0.5384 0.7500 0.4601
20 O 0.7229 0.2500 0.6079
21 O 0.7771 0.7500 0.1079
22 O 0.9616 0.2500 0.9601
23 O 0.9683 0.7500 0.5492
24 O 0.9733 0.7500 0.3113

No. 2
KV4O10: computed powder diffractogram (Cu Kα, 1.54184 Å), based on the PBE+U geometry in the Materials Project.
Peak positions follow from Bragg's law for the DFT cell and can differ from measured ones.

The 8 most intense peaks (10 to 90 degrees two-theta), in order of rising 2θ:
17.29 deg, I = 54
25.15 deg, I = 61
26.67 deg, I = 100
27.30 deg, I = 88
32.17 deg, I = 50
34.28 deg, I = 49
46.38 deg, I = 44
49.07 deg, I = 52

Atomic structure:
Lattice parameters (Å, degrees): 6.1631 6.1631 9.8080 92.18 92.18 35.06
Fractional positions:
1 K 0.0000 0.0000 0.0000
2 V 0.1699 0.1699 0.3687
3 V 0.3459 0.3459 0.6782
4 V 0.4666 0.4666 0.3703
5 V 0.6431 0.6431 0.6808
6 O 0.0016 0.0016 0.3984
7 O 0.1703 0.1703 0.6349
8 O 0.1773 0.1773 0.2039
9 O 0.3220 0.3220 0.4282
10 O 0.3653 0.3653 0.8444
11 O 0.4504 0.4504 0.2037
12 O 0.4877 0.4877 0.6184
13 O 0.6290 0.6290 0.8460
14 O 0.6413 0.6413 0.4127
15 O 0.8103 0.8103 0.6503

No. 3
K2V2O5: computed powder diffractogram (Cu Kα, 1.54184 Å), based on the PBE+U geometry in the Materials Project.
Peak positions follow from Bragg's law for the DFT cell and can differ from measured ones.

The 8 most intense peaks (10 to 90 degrees two-theta), in order of rising 2θ:
20.70 deg, I = 18
28.73 deg, I = 31
30.13 deg, I = 43
32.17 deg, I = 100
42.12 deg, I = 48
49.90 deg, I = 19
54.82 deg, I = 20
67.30 deg, I = 16

Atomic structure:
Lattice parameters (Å, degrees): 8.4792 8.4792 8.4792 60.88 137.00 139.05
Fractional positions:
1 K 0.0275 0.1156 0.1431
2 K 0.0275 0.3844 0.4119
3 K 0.9725 0.6156 0.5881
4 K 0.9725 0.8844 0.8568
5 V 0.4087 0.7410 0.1677
6 V 0.4732 0.4732 0.0000
7 V 0.4732 0.9732 0.5000
8 V 0.5732 0.2410 0.8323
9 O 0.0092 0.4481 0.0612
10 O 0.0707 0.3079 0.7810
11 O 0.0707 0.7897 0.2628
12 O 0.3869 0.9481 0.9388
13 O 0.4809 0.1639 0.5988
14 O 0.4809 0.3821 0.8170
15 O 0.5269 0.2897 0.2190
16 O 0.5269 0.8079 0.7372
17 O 0.5652 0.6639 0.1830
18 O 0.5652 0.8821 0.4012

No. 4
K3YV2O8: computed powder diffractogram (Cu Kα, 1.54184 Å), based on the PBE+U geometry in the Materials Project.
Peak positions follow from Bragg's law for the DFT cell and can differ from measured ones.

The 8 most intense peaks (10 to 90 degrees two-theta), in order of rising 2θ:
11.32 deg, I = 25
20.47 deg, I = 35
28.54 deg, I = 86
29.67 deg, I = 100
41.64 deg, I = 50
51.96 deg, I = 28
56.11 deg, I = 26
61.61 deg, I = 19

Atomic structure:
Lattice parameters (Å, degrees): 6.0214 6.0214 7.8169 90.00 90.00 120.00
Fractional positions:
1 K 0.0000 0.0000 0.0000
2 K 0.3333 0.6667 0.7067
3 K 0.6667 0.3333 0.2933
4 Y 0.0000 0.0000 0.5000
5 V 0.3333 0.6667 0.2515
6 V 0.6667 0.3333 0.7485
7 O 0.1741 0.3482 0.3281
8 O 0.1741 0.8259 0.3281
9 O 0.3333 0.6667 0.0363
10 O 0.3482 0.1741 0.6719
11 O 0.6518 0.8259 0.3281
12 O 0.6667 0.3333 0.9637
13 O 0.8259 0.1741 0.6719
14 O 0.8259 0.6518 0.6719

No. 5
KV5ZnO22: computed powder diffractogram (Cu Kα, 1.54184 Å), based on the PBE+U geometry in the Materials Project.
Peak positions follow from Bragg's law for the DFT cell and can differ from measured ones.

The 8 most intense peaks (10 to 90 degrees two-theta), in order of rising 2θ:
10.01 deg, I = 66
10.43 deg, I = 100
15.98 deg, I = 23
16.86 deg, I = 27
25.19 deg, I = 22
30.32 deg, I = 21
39.64 deg, I = 23
40.82 deg, I = 19

Atomic structure:
Lattice parameters (Å, degrees): 8.7265 10.7011 11.2881 68.84 83.22 76.56
Fractional positions:
1 K 0.2340 0.0653 0.2394
2 K 0.7660 0.9347 0.7606
3 V 0.1051 0.2042 0.5604
4 V 0.1293 0.4454 0.2691
5 V 0.1402 0.2804 0.8050
6 V 0.1786 0.4915 0.5179
7 V 0.1962 0.7346 0.2654
8 V 0.8038 0.2654 0.7346
9 V 0.8214 0.5085 0.4821
10 V 0.8598 0.7196 0.1950
11 V 0.8707 0.5546 0.7309
12 V 0.8949 0.7958 0.4396
13 Zn 0.3155 0.5731 0.7083
14 Zn 0.6845 0.4269 0.2917
15 O 0.0135 0.5887 0.3932
16 O 0.0309 0.4483 0.8280
17 O 0.0393 0.6536 0.5962
18 O 0.0391 0.7894 0.1517
19 O 0.0767 0.8416 0.3567
20 O 0.0827 0.8309 0.8791
21 O 0.0932 0.7065 0.9090
22 O 0.1383 0.7142 0.6434
23 O 0.1836 0.0866 0.4988
24 O 0.2098 0.3265 0.2092
25 O 0.2111 0.1753 0.6971
26 O 0.2234 0.3566 0.4498
27 O 0.2473 0.2070 0.9290
28 O 0.2586 0.5673 0.2232
29 O 0.2659 0.4167 0.6707
30 O 0.2932 0.6075 0.4338
31 O 0.3305 0.8226 0.1957
32 O 0.4365 0.7282 0.9089
33 O 0.4494 0.8452 0.8936
34 O 0.4495 0.8313 0.5803
35 O 0.4756 0.8701 0.4643
36 O 0.4854 0.4747 0.8097
37 O 0.5146 0.5253 0.1903
38 O 0.5244 0.1299 0.5357
39 O 0.5505 0.1687 0.4197
40 O 0.5506 0.1548 0.1064
41 O 0.5635 0.2718 0.0911
42 O 0.6695 0.1774 0.8043
43 O 0.7068 0.3925 0.5662
44 O 0.7341 0.5833 0.3293
45 O 0.7414 0.4327 0.7768
46 O 0.7527 0.7930 0.0710
47 O 0.7766 0.6434 0.5502
48 O 0.7889 0.8247 0.3029
49 O 0.7902 0.6735 0.7908
50 O 0.8164 0.9134 0.5012
51 O 0.8617 0.2858 0.3566
52 O 0.9068 0.2935 0.0910
53 O 0.9173 0.1691 0.1209
54 O 0.9233 0.1584 0.6433
55 O 0.9609 0.2106 0.8483
56 O 0.9607 0.3464 0.4038
57 O 0.9691 0.5517 0.1720
58 O 0.9865 0.4113 0.6068

No. 6
K2WO4: computed powder diffractogram (Cu Kα, 1.54184 Å), based on the PBE+U geometry in the Materials Project.
Peak positions follow from Bragg's law for the DFT cell and can differ from measured ones.

The 8 most intense peaks (10 to 90 degrees two-theta), in order of rising 2θ:
15.25 deg, I = 41
18.34 deg, I = 92
22.73 deg, I = 49
25.79 deg, I = 55
27.57 deg, I = 100
28.37 deg, I = 68
29.86 deg, I = 70
38.72 deg, I = 52

Atomic structure:
Lattice parameters (Å, degrees): 7.0459 7.0459 7.6978 113.25 113.25 53.02
Fractional positions:
1 K 0.0071 0.0071 0.2329
2 K 0.3438 0.3438 0.2517
3 K 0.6562 0.6562 0.7483
4 K 0.9929 0.9929 0.7671
5 W 0.3239 0.3239 0.7711
6 W 0.6761 0.6761 0.2289
7 O 0.1208 0.5936 0.9223
8 O 0.1658 0.1658 0.6122
9 O 0.4064 0.8792 0.0777
10 O 0.4117 0.4117 0.6363
11 O 0.5883 0.5883 0.3637
12 O 0.5936 0.1208 0.9223
13 O 0.8342 0.8342 0.3878
14 O 0.8792 0.4064 0.0777